(1)
Zr4IrRh3: calculated powder diffractogram (Cu Kα X-rays), based on a GGA-PBE-relaxed structure.

Largest 12 diffraction maxima, low angle first, 2θ from 10° to 90°:
20.2°, I = 4
27.1°, I = 3
38.5°, I = 100
38.7°, I = 49
55.2°, I = 9
55.9°, I = 17
69.4°, I = 13
69.5°, I = 4
69.9°, I = 33
82.3°, I = 6
82.5°, I = 5
83.0°, I = 5

```
data_Zr4IrRh3
_chemical_formula_sum 'Zr4 Ir1 Rh3'
_cell_length_a 7.4244
_cell_length_b 7.4244
_cell_length_c 4.6556
_cell_angle_alpha 108.18
_cell_angle_beta 108.18
_cell_angle_gamma 36.54
_symmetry_space_group_name_H-M 'P 1'
_symmetry_Int_Tables_number 1
loop_
_symmetry_equiv_pos_as_xyz
'x,y,z'
loop_
_atom_site_label
_atom_site_type_symbol
_atom_site_fract_x
_atom_site_fract_y
_atom_site_fract_z
_atom_site_occupancy
Zr1 Zr 0.1247 0.1247 0.1246 1
Zr2 Zr 0.3753 0.3753 0.3754 1
Zr3 Zr 0.6247 0.6247 0.6246 1
Zr4 Zr 0.8753 0.8753 0.8754 1
Ir1 Ir 0.0000 0.0000 0.5000 1
Rh1 Rh 0.2527 0.2527 0.7526 1
Rh2 Rh 0.5000 0.5000 0.0000 1
Rh3 Rh 0.7473 0.7473 0.2474 1
```

(2)
BaCeCd2Sn2: calculated powder diffractogram (Cu Kα X-rays), based on a GGA-PBE-relaxed structure.

Largest 12 diffraction maxima, low angle first, 2θ from 10° to 90°:
10.1°, I = 13
29.2°, I = 100
36.2°, I = 68
37.3°, I = 10
47.2°, I = 26
48.2°, I = 9
56.1°, I = 15
56.9°, I = 7
60.9°, I = 25
65.2°, I = 12
76.9°, I = 8
84.3°, I = 10

```
data_BaCeCd2Sn2
_chemical_formula_sum 'Ba1 Ce1 Cd2 Sn2'
_cell_length_a 4.9568
_cell_length_b 4.9568
_cell_length_c 8.7366
_cell_angle_alpha 90.00
_cell_angle_beta 90.00
_cell_angle_gamma 120.00
_symmetry_space_group_name_H-M 'P 1'
_symmetry_Int_Tables_number 1
loop_
_symmetry_equiv_pos_as_xyz
'x,y,z'
loop_
_atom_site_label
_atom_site_type_symbol
_atom_site_fract_x
_atom_site_fract_y
_atom_site_fract_z
_atom_site_occupancy
Ba1 Ba 0.0000 0.0000 0.0000 1
Ce1 Ce 0.0000 0.0000 0.5000 1
Cd1 Cd 0.3333 0.6667 0.6827 1
Cd2 Cd 0.6667 0.3333 0.3173 1
Sn1 Sn 0.3333 0.6667 0.2667 1
Sn2 Sn 0.6667 0.3333 0.7333 1
```

(3)
Ho3ErPt12: calculated powder diffractogram (Cu Kα X-rays), based on a GGA-PBE-relaxed structure.

Largest 8 diffraction maxima, low angle first, 2θ from 10° to 90°:
37.9°, I = 100
44.0°, I = 33
44.2°, I = 16
64.0°, I = 11
64.2°, I = 22
76.9°, I = 26
77.2°, I = 13
81.1°, I = 11

```
data_Ho3ErPt12
_chemical_formula_sum 'Ho3 Er1 Pt12'
_cell_length_a 4.1136
_cell_length_b 4.1136
_cell_length_c 16.3846
_cell_angle_alpha 90.00
_cell_angle_beta 90.00
_cell_angle_gamma 90.00
_symmetry_space_group_name_H-M 'P 1'
_symmetry_Int_Tables_number 1
loop_
_symmetry_equiv_pos_as_xyz
'x,y,z'
loop_
_atom_site_label
_atom_site_type_symbol
_atom_site_fract_x
_atom_site_fract_y
_atom_site_fract_z
_atom_site_occupancy
Ho1 Ho 0.0000 0.0000 0.0000 1
Ho2 Ho 0.0000 0.0000 0.2503 1
Ho3 Ho 0.0000 0.0000 0.7497 1
Er1 Er 0.0000 0.0000 0.5000 1
Pt1 Pt 0.0000 0.5000 0.1252 1
Pt2 Pt 0.0000 0.5000 0.3755 1
Pt3 Pt 0.0000 0.5000 0.6245 1
Pt4 Pt 0.0000 0.5000 0.8748 1
Pt5 Pt 0.5000 0.0000 0.1252 1
Pt6 Pt 0.5000 0.0000 0.3755 1
Pt7 Pt 0.5000 0.0000 0.6245 1
Pt8 Pt 0.5000 0.0000 0.8748 1
Pt9 Pt 0.5000 0.5000 0.0000 1
Pt10 Pt 0.5000 0.5000 0.2503 1
Pt11 Pt 0.5000 0.5000 0.5000 1
Pt12 Pt 0.5000 0.5000 0.7497 1
```

(4)
La8N5: calculated powder diffractogram (Cu Kα X-rays), based on a GGA-PBE-relaxed structure.

Largest 12 diffraction maxima, low angle first, 2θ from 10° to 90°:
13.8°, I = 8
27.8°, I = 29
28.1°, I = 14
31.2°, I = 18
31.4°, I = 100
39.7°, I = 9
40.0°, I = 19
49.6°, I = 16
49.8°, I = 8
51.4°, I = 14
51.6°, I = 11
58.0°, I = 15

```
data_La8N5
_chemical_formula_sum 'La8 N5'
_cell_length_a 7.3552
_cell_length_b 7.3552
_cell_length_c 9.0226
_cell_angle_alpha 127.52
_cell_angle_beta 127.52
_cell_angle_gamma 59.72
_symmetry_space_group_name_H-M 'P 1'
_symmetry_Int_Tables_number 1
loop_
_symmetry_equiv_pos_as_xyz
'x,y,z'
loop_
_atom_site_label
_atom_site_type_symbol
_atom_site_fract_x
_atom_site_fract_y
_atom_site_fract_z
_atom_site_occupancy
La1 La 0.0208 0.0208 0.2228 1
La2 La 0.0260 0.5505 0.2347 1
La3 La 0.4495 0.9740 0.7653 1
La4 La 0.4785 0.4785 0.7895 1
La5 La 0.5215 0.5215 0.2105 1
La6 La 0.5505 0.0260 0.2347 1
La7 La 0.9740 0.4495 0.7653 1
La8 La 0.9792 0.9792 0.7772 1
N1 N 0.0000 0.0000 0.5000 1
N2 N 0.2441 0.7559 0.0000 1
N3 N 0.2532 0.2532 0.0106 1
N4 N 0.7468 0.7468 0.9894 1
N5 N 0.7559 0.2441 0.0000 1
```

(5)
LaMg14C: calculated powder diffractogram (Cu Kα X-rays), based on a GGA-PBE-relaxed structure.

Largest 12 diffraction maxima, low angle first, 2θ from 10° to 90°:
15.8°, I = 26
18.1°, I = 42
29.0°, I = 20
31.1°, I = 22
31.9°, I = 28
33.2°, I = 14
35.7°, I = 21
36.7°, I = 100
48.6°, I = 17
56.8°, I = 19
69.0°, I = 16
69.6°, I = 13

```
data_LaMg14C
_chemical_formula_sum 'La1 Mg14 C1'
_cell_length_a 6.4789
_cell_length_b 6.4789
_cell_length_c 10.0514
_cell_angle_alpha 90.00
_cell_angle_beta 90.00
_cell_angle_gamma 120.00
_symmetry_space_group_name_H-M 'P 1'
_symmetry_Int_Tables_number 1
loop_
_symmetry_equiv_pos_as_xyz
'x,y,z'
loop_
_atom_site_label
_atom_site_type_symbol
_atom_site_fract_x
_atom_site_fract_y
_atom_site_fract_z
_atom_site_occupancy
La1 La 0.0000 0.0000 0.0000 1
Mg1 Mg 0.0201 0.5100 0.0000 1
Mg2 Mg 0.1559 0.3118 0.2817 1
Mg3 Mg 0.1559 0.3118 0.7183 1
Mg4 Mg 0.1559 0.8441 0.2817 1
Mg5 Mg 0.1559 0.8441 0.7183 1
Mg6 Mg 0.4900 0.5100 0.0000 1
Mg7 Mg 0.4900 0.9799 0.0000 1
Mg8 Mg 0.5091 0.0182 0.5000 1
Mg9 Mg 0.5091 0.4909 0.5000 1
Mg10 Mg 0.6667 0.3333 0.2355 1
Mg11 Mg 0.6667 0.3333 0.7645 1
Mg12 Mg 0.6882 0.8441 0.2817 1
Mg13 Mg 0.6882 0.8441 0.7183 1
Mg14 Mg 0.9818 0.4909 0.5000 1
C1 C 0.0000 0.0000 0.5000 1
```

(6)
LaNd3Er4: calculated powder diffractogram (Cu Kα X-rays), based on a GGA-PBE-relaxed structure.

Largest 12 diffraction maxima, low angle first, 2θ from 10° to 90°:
26.8°, I = 13
30.3°, I = 37
30.6°, I = 42
31.0°, I = 100
33.0°, I = 12
36.5°, I = 24
37.4°, I = 21
54.6°, I = 20
55.4°, I = 12
62.7°, I = 11
62.9°, I = 21
64.6°, I = 15

```
data_LaNd3Er4
_chemical_formula_sum 'La1 Nd3 Er4'
_cell_length_a 9.0054
_cell_length_b 9.0054
_cell_length_c 9.0054
_cell_angle_alpha 157.99
_cell_angle_beta 99.03
_cell_angle_gamma 85.17
_symmetry_space_group_name_H-M 'P 1'
_symmetry_Int_Tables_number 1
loop_
_symmetry_equiv_pos_as_xyz
'x,y,z'
loop_
_atom_site_label
_atom_site_type_symbol
_atom_site_fract_x
_atom_site_fract_y
_atom_site_fract_z
_atom_site_occupancy
La1 La 0.0000 0.0000 0.0000 1
Nd1 Nd 0.2422 0.7422 0.5000 1
Nd2 Nd 0.5000 0.5000 0.0000 1
Nd3 Nd 0.7578 0.2578 0.5000 1
Er1 Er 0.1153 0.8645 0.2508 1
Er2 Er 0.3863 0.1355 0.2508 1
Er3 Er 0.6137 0.8645 0.7492 1
Er4 Er 0.8847 0.1355 0.7492 1
```

(7)
Ac8Tb4Tm: calculated powder diffractogram (Cu Kα X-rays), based on a GGA-PBE-relaxed structure.

Largest 12 diffraction maxima, low angle first, 2θ from 10° to 90°:
18.5°, I = 7
21.4°, I = 16
30.4°, I = 100
35.9°, I = 4
37.5°, I = 5
43.6°, I = 19
49.0°, I = 7
54.1°, I = 40
63.3°, I = 12
71.9°, I = 17
88.0°, I = 15
88.1°, I = 5

```
data_Ac8Tb4Tm
_chemical_formula_sum 'Ac8 Tb4 Tm1'
_cell_length_a 8.3064
_cell_length_b 8.3064
_cell_length_c 8.3064
_cell_angle_alpha 90.05
_cell_angle_beta 90.05
_cell_angle_gamma 90.05
_symmetry_space_group_name_H-M 'P 1'
_symmetry_Int_Tables_number 1
loop_
_symmetry_equiv_pos_as_xyz
'x,y,z'
loop_
_atom_site_label
_atom_site_type_symbol
_atom_site_fract_x
_atom_site_fract_y
_atom_site_fract_z
_atom_site_occupancy
Ac1 Ac 0.2425 0.2425 0.7570 1
Ac2 Ac 0.2425 0.7570 0.2425 1
Ac3 Ac 0.2426 0.2426 0.2426 1
Ac4 Ac 0.2430 0.7575 0.7575 1
Ac5 Ac 0.7570 0.2425 0.2425 1
Ac6 Ac 0.7574 0.7574 0.7574 1
Ac7 Ac 0.7575 0.2430 0.7575 1
Ac8 Ac 0.7575 0.7575 0.2430 1
Tb1 Tb 0.0000 0.0000 0.0000 1
Tb2 Tb 0.0000 0.5000 0.5000 1
Tb3 Tb 0.5000 0.0000 0.5000 1
Tb4 Tb 0.5000 0.5000 0.0000 1
Tm1 Tm 0.5000 0.5000 0.5000 1
```

(8)
Ca3Sb: calculated powder diffractogram (Cu Kα X-rays), based on a GGA-PBE-relaxed structure.

Largest 12 diffraction maxima, low angle first, 2θ from 10° to 90°:
16.3°, I = 19
21.1°, I = 28
25.1°, I = 18
30.1°, I = 43
30.8°, I = 36
33.0°, I = 100
37.4°, I = 23
42.0°, I = 12
51.6°, I = 23
56.2°, I = 20
61.3°, I = 27
62.7°, I = 14

```
data_Ca3Sb
_chemical_formula_sum 'Ca12 Sb4'
_cell_length_a 7.0824
_cell_length_b 7.0824
_cell_length_c 11.6171
_cell_angle_alpha 90.00
_cell_angle_beta 90.00
_cell_angle_gamma 120.00
_symmetry_space_group_name_H-M 'P 1'
_symmetry_Int_Tables_number 1
loop_
_symmetry_equiv_pos_as_xyz
'x,y,z'
loop_
_atom_site_label
_atom_site_type_symbol
_atom_site_fract_x
_atom_site_fract_y
_atom_site_fract_z
_atom_site_occupancy
Ca1 Ca 0.0000 0.5000 0.0000 1
Ca2 Ca 0.0000 0.5000 0.5000 1
Ca3 Ca 0.1633 0.3266 0.2500 1
Ca4 Ca 0.1633 0.8367 0.2500 1
Ca5 Ca 0.3266 0.1633 0.7500 1
Ca6 Ca 0.5000 0.0000 0.0000 1
Ca7 Ca 0.5000 0.0000 0.5000 1
Ca8 Ca 0.5000 0.5000 0.0000 1
Ca9 Ca 0.5000 0.5000 0.5000 1
Ca10 Ca 0.6734 0.8367 0.2500 1
Ca11 Ca 0.8367 0.1633 0.7500 1
Ca12 Ca 0.8367 0.6734 0.7500 1
Sb1 Sb 0.0000 0.0000 0.0000 1
Sb2 Sb 0.0000 0.0000 0.5000 1
Sb3 Sb 0.3333 0.6667 0.7500 1
Sb4 Sb 0.6667 0.3333 0.2500 1
```